(1)
Diffraction record for Th2Zn15Hg2. The powder diffractogram is theoretical, not measured: it uses a GGA-PBE-relaxed structure and Cu Kα X-rays.
Intensities are scaled so that the largest is 1000.

Top 10 peaks for 10° ≤ 2θ ≤ 90°, most intense first:
d (Å), 2theta, I (rel.)
2.307, 39.05, 1000
2.664, 33.65, 906
2.289, 39.37, 853
4.614, 19.24, 614
2.570, 34.92, 609
2.245, 40.17, 560
3.094, 28.86, 416
1.301, 72.66, 332
2.228, 40.48, 303
1.332, 70.74, 291

Atomic structure:
a b c (Å): 6.9569 6.9569 6.9569
angles (deg): 83.09 83.09 83.09
Fractional positions:
Th: 0.1569 0.1569 0.1569
Th: 0.8431 0.8431 0.8431
Zn: 0.0000 0.5000 0.5000
Zn: 0.1459 0.1459 0.6674
Zn: 0.1459 0.6674 0.1459
Zn: 0.1993 0.5000 0.8007
Zn: 0.1993 0.8007 0.5000
Zn: 0.3326 0.8541 0.8541
Zn: 0.5000 0.0000 0.5000
Zn: 0.5000 0.1993 0.8007
Zn: 0.5000 0.5000 0.0000
Zn: 0.5000 0.8007 0.1993
Zn: 0.6674 0.1459 0.1459
Zn: 0.8007 0.1993 0.5000
Zn: 0.8007 0.5000 0.1993
Zn: 0.8541 0.3326 0.8541
Zn: 0.8541 0.8541 0.3326
Hg: 0.3931 0.3931 0.3931
Hg: 0.6069 0.6069 0.6069



(2)
Diffraction record for Li3AlO3. The powder diffractogram is theoretical, not measured: it uses a GGA-PBE-relaxed structure and Cu Kα X-rays.
Intensities are scaled so that the largest is 1000.

Top 10 peaks for 10° ≤ 2θ ≤ 90°, most intense first:
d (Å), 2theta, I (rel.)
3.260, 27.36, 1000
2.247, 40.13, 411
1.599, 57.65, 364
3.064, 29.14, 332
6.356, 13.93, 258
1.749, 52.31, 176
1.303, 72.57, 159
4.020, 22.11, 148
1.380, 67.92, 140
1.850, 49.25, 134

Atomic structure:
a b c (Å): 8.9856 8.9910 3.4977
angles (deg): 90.00 90.00 90.00
Fractional positions:
Li: 0.0986 0.1388 0.0000
Li: 0.1380 0.9013 0.5000
Li: 0.1759 0.3241 0.5000
Li: 0.3241 0.8241 0.0000
Li: 0.3620 0.4013 0.0000
Li: 0.4014 0.6388 0.5000
Li: 0.5986 0.3612 0.5000
Li: 0.6380 0.5987 0.0000
Li: 0.6759 0.1759 0.0000
Li: 0.8241 0.6759 0.5000
Li: 0.8620 0.0987 0.5000
Li: 0.9014 0.8612 0.0000
Al: 0.1130 0.6127 0.0000
Al: 0.3870 0.1127 0.5000
Al: 0.6130 0.8873 0.5000
Al: 0.8870 0.3873 0.0000
O: 0.0960 0.4040 0.0000
O: 0.1073 0.8124 0.0000
O: 0.1871 0.1071 0.5000
O: 0.3129 0.6071 0.0000
O: 0.3927 0.3124 0.5000
O: 0.4040 0.9040 0.5000
O: 0.5960 0.0960 0.5000
O: 0.6073 0.6876 0.5000
O: 0.6871 0.3929 0.0000
O: 0.8129 0.8929 0.5000
O: 0.8927 0.1876 0.0000
O: 0.9040 0.5960 0.0000



(3)
Diffraction record for HfFe6Ge6. The powder diffractogram is theoretical, not measured: it uses a GGA-PBE-relaxed structure and Cu Kα X-rays.
Intensities are scaled so that the largest is 1000.

Top 10 peaks for 10° ≤ 2θ ≤ 90°, most intense first:
d (Å), 2theta, I (rel.)
2.142, 42.19, 1000
2.528, 35.52, 486
2.193, 41.16, 351
1.186, 81.12, 268
2.013, 45.03, 248
2.535, 35.42, 245
1.926, 47.19, 232
2.566, 34.97, 219
2.085, 43.40, 204
1.264, 75.18, 187

Atomic structure:
a b c (Å): 6.4625 6.4625 6.4625
angles (deg): 133.82 102.93 94.82
Fractional positions:
Hf: 0.0000 0.0000 0.0000
Fe: 0.0000 0.0000 0.5000
Fe: 0.0000 0.5000 0.0000
Fe: 0.2535 0.5000 0.7535
Fe: 0.5000 0.0000 0.0000
Fe: 0.5000 0.5000 0.5000
Fe: 0.7465 0.5000 0.2465
Ge: 0.1632 0.6632 0.5000
Ge: 0.3325 0.3325 0.0000
Ge: 0.3438 0.0000 0.3438
Ge: 0.6562 0.0000 0.6562
Ge: 0.6675 0.6675 0.0000
Ge: 0.8368 0.3368 0.5000



(4)
Diffraction record for ErH2I4. The powder diffractogram is theoretical, not measured: it uses a GGA-PBE-relaxed structure and Cu Kα X-rays.
Intensities are scaled so that the largest is 1000.

Top 10 peaks for 10° ≤ 2θ ≤ 90°, most intense first:
d (Å), 2theta, I (rel.)
3.343, 26.66, 1000
3.440, 25.90, 515
8.011, 11.04, 489
2.243, 40.21, 406
7.538, 11.74, 391
2.673, 33.53, 348
2.043, 44.33, 302
5.690, 15.57, 264
3.260, 27.35, 236
3.769, 23.61, 219

Atomic structure:
a b c (Å): 7.5558 4.1313 8.0305
angles (deg): 90.00 93.98 90.00
Fractional positions:
Er: 0.0000 0.0000 0.0000
H: 0.2516 0.5000 0.3082
H: 0.7484 0.5000 0.6918
I: 0.2233 0.5000 0.8450
I: 0.2549 0.0000 0.3125
I: 0.7451 0.0000 0.6875
I: 0.7767 0.5000 0.1550



(5)
Diffraction record for Sc2Pd3Au3. The powder diffractogram is theoretical, not measured: it uses a GGA-PBE-relaxed structure and Cu Kα X-rays.
Intensities are scaled so that the largest is 1000.

Top 10 peaks for 10° ≤ 2θ ≤ 90°, most intense first:
d (Å), 2theta, I (rel.)
2.260, 39.88, 1000
2.403, 37.43, 617
3.830, 23.22, 451
2.211, 40.80, 408
2.153, 41.96, 246
2.603, 34.45, 200
1.498, 61.96, 199
1.180, 81.60, 163
1.543, 59.96, 159
1.302, 72.64, 134

Atomic structure:
a b c (Å): 5.2348 5.2348 5.2348
angles (deg): 94.06 94.06 94.06
Fractional positions:
Sc: 0.2324 0.2324 0.2324
Sc: 0.7676 0.7676 0.7676
Pd: 0.0000 0.2907 0.7093
Pd: 0.2907 0.7093 0.0000
Pd: 0.7093 0.0000 0.2907
Au: 0.2360 0.7640 0.5000
Au: 0.5000 0.2360 0.7640
Au: 0.7640 0.5000 0.2360



(6)
Diffraction record for Ba3LiGe2. The powder diffractogram is theoretical, not measured: it uses a GGA-PBE-relaxed structure and Cu Kα X-rays.
Intensities are scaled so that the largest is 1000.

Top 10 peaks for 10° ≤ 2θ ≤ 90°, most intense first:
d (Å), 2theta, I (rel.)
3.443, 25.88, 1000
3.115, 28.66, 649
3.701, 24.05, 559
3.085, 28.95, 558
3.793, 23.45, 539
3.476, 25.63, 483
3.525, 25.26, 463
2.415, 37.24, 455
3.209, 27.80, 448
3.811, 23.34, 442

Atomic structure:
a b c (Å): 8.0850 11.5901 10.6737
angles (deg): 90.00 110.16 90.00
Fractional positions:
Ba: 0.2024 0.2261 0.3171
Ba: 0.2024 0.2739 0.8171
Ba: 0.2481 0.5676 0.5187
Ba: 0.2481 0.9324 0.0187
Ba: 0.2940 0.5211 0.1177
Ba: 0.2940 0.9789 0.6177
Ba: 0.7060 0.0211 0.3823
Ba: 0.7060 0.4789 0.8823
Ba: 0.7519 0.0676 0.9813
Ba: 0.7519 0.4324 0.4813
Ba: 0.7976 0.7261 0.1829
Ba: 0.7976 0.7739 0.6829
Li: 0.2995 0.6776 0.8304
Li: 0.2995 0.8224 0.3304
Li: 0.7005 0.1776 0.6696
Li: 0.7005 0.3224 0.1696
Ge: 0.0483 0.5404 0.7775
Ge: 0.0483 0.9596 0.2775
Ge: 0.4485 0.1906 0.1242
Ge: 0.4485 0.3094 0.6242
Ge: 0.5515 0.6906 0.3758
Ge: 0.5515 0.8094 0.8758
Ge: 0.9517 0.0404 0.7225
Ge: 0.9517 0.4596 0.2225



(7)
Diffraction record for Pm2Y4Cd. The powder diffractogram is theoretical, not measured: it uses a GGA-PBE-relaxed structure and Cu Kα X-rays.
Intensities are scaled so that the largest is 1000.

Top 10 peaks for 10° ≤ 2θ ≤ 90°, most intense first:
d (Å), 2theta, I (rel.)
2.680, 33.43, 1000
2.869, 31.18, 973
2.760, 32.44, 742
2.482, 36.19, 694
2.713, 33.01, 682
3.308, 26.95, 658
1.528, 60.59, 414
2.939, 30.41, 363
1.677, 54.74, 331
2.324, 38.75, 291

Atomic structure:
a b c (Å): 8.7436 8.7436 8.2421
angles (deg): 116.87 116.87 23.84
Fractional positions:
Pm: 0.2131 0.2131 0.1290
Pm: 0.7869 0.7869 0.8710
Y: 0.1432 0.1432 0.4674
Y: 0.4410 0.4410 0.2638
Y: 0.5590 0.5590 0.7362
Y: 0.8568 0.8568 0.5326
Cd: 0.0000 0.0000 0.0000